# Nd2Ni3Ge5
Simulated powder XRD pattern, λ = 1.5418 Å (Cu Kα). Input: the PBE geometry in Alexandria.
No peak broadening, texture or thermal motion is included.

Top 6 peaks for 10° ≤ 2θ ≤ 80°, by intensity:
| 2θ/deg | I_rel | h k l |
| --- | --- | --- |
| 35.09 | 100 | 2 0 2 |
| 42.99 | 96 | 0 4 2 |
| 34.66 | 96 | 3 2 1 |
| 35.39 | 84 | 2 4 0 |
| 51.21 | 34 | 5 2 1 |
| 73.47 | 28 | 2 4 4 |

Atomic structure:
```
data_Nd2Ni3Ge5
_cell_length_a 9.8480
_cell_length_b 11.8375
_cell_length_c 5.9839
_cell_angle_alpha 90.00
_cell_angle_beta 90.00
_cell_angle_gamma 90.00
_space_group_name_H-M_alt 'I b a m'
_space_group_IT_number 72
_space_group_name_Hall '-I 2 2c'
loop_
_atom_site_label
_atom_site_type_symbol
_atom_site_fract_x
_atom_site_fract_y
_atom_site_fract_z
Nd1 Nd 0.2371 0.1331 0.0000
Ni1 Ni 0.0000 0.5000 0.2500
Ni2 Ni 0.1092 0.1347 0.5000
Ge1 Ge 0.0000 0.0000 0.2500
Ge2 Ge 0.0000 0.2650 0.2500
Ge3 Ge 0.1548 0.3987 0.0000
```

# CaBOs
Simulated powder XRD pattern, λ = 1.5418 Å (Cu Kα). Input: the PBE geometry in Alexandria.
No peak broadening, texture or thermal motion is included.

Top 6 peaks for 10° ≤ 2θ ≤ 80°, by intensity:
| 2θ/deg | I_rel | h k l |
| --- | --- | --- |
| 11.04 | 100 | 0 0 1 |
| 33.28 | 32 | 1 1 1 |
| 38.69 | 29 | 1 1 2 |
| 22.19 | 15 | 0 0 2 |
| 46.32 | 12 | 2 0 1 |
| 44.84 | 11 | 2 0 0 |

Atomic structure:
```
data_CaBOs
_cell_length_a 4.0429
_cell_length_b 4.0429
_cell_length_c 8.0119
_cell_angle_alpha 90.00
_cell_angle_beta 90.00
_cell_angle_gamma 90.00
_space_group_name_H-M_alt 'P 4/n m m'
_space_group_IT_number 129
loop_
_space_group_symop_operation_xyz
'x,y,z'
'-x,-y,-z'
'-y+1/2,x,z'
'y+1/2,-x,-z'
'-x+1/2,-y+1/2,z'
'x+1/2,y+1/2,-z'
'y,-x+1/2,z'
'-y,x+1/2,-z'
'x+1/2,-y,-z'
'-x+1/2,y,z'
'-y,-x,-z'
'y,x,z'
'-x,y+1/2,-z'
'x,-y+1/2,z'
'y+1/2,x+1/2,-z'
'-y+1/2,-x+1/2,z'
loop_
_atom_site_label
_atom_site_type_symbol
_atom_site_fract_x
_atom_site_fract_y
_atom_site_fract_z
Ca1 Ca 0.2500 0.2500 0.2086
B1 B 0.2500 0.2500 0.5783
Os1 Os 0.2500 0.7500 0.5000
```